# 1
Simulated powder diffraction line list of Mn2Be16Si for copper Kα, from the GGA-PBE geometry in Alexandria.
Kinematic intensities with the Lorentz-polarization factor, no thermal factor.

Largest 6 diffraction maxima, low angle first, 2θ = 10–80°:
d [Å]  I/Imax
3.620  100
2.542  68
2.462  23
2.090  47
1.810  36
1.803  51

Cell and atoms:
```
data_Mn2Be16Si
_chemical_formula_sum 'Mn6 Be48 Si3'
_cell_length_a 7.2392
_cell_length_b 7.2392
_cell_length_c 10.7090
_cell_angle_alpha 90.00
_cell_angle_beta 90.00
_cell_angle_gamma 120.00
_space_group_name_H-M_alt 'R 3 m'
_space_group_IT_number 160
_space_group_name_Hall 'R 3 -2"'
loop_
_atom_site_label
_atom_site_type_symbol
_atom_site_fract_x
_atom_site_fract_y
_atom_site_fract_z
Mn1 Mn 0.0000 0.0000 0.0000
Mn2 Mn 0.0000 0.0000 0.3261
Be1 Be 0.0000 0.0000 0.5554
Be2 Be 0.0056 0.5028 0.1619
Be3 Be 0.0058 0.5029 0.8200
Be4 Be 0.0157 0.3482 0.3280
Be5 Be 0.1754 0.3509 0.8365
Si1 Si 0.0000 0.0000 0.7630
```

---

# 2
Simulated powder diffraction line list of LiTi2I8 for copper Kα, from the GGA-PBE geometry in Alexandria.
Kinematic intensities with the Lorentz-polarization factor, no thermal factor.

Largest 6 diffraction maxima, low angle first, 2θ = 10–80°:
d [Å]  I/Imax
3.720  100
3.695  77
3.656  36
3.607  68
3.472  32
2.217  33

Cell and atoms:
```
data_LiTi2I8
_chemical_formula_sum 'Li2 Ti4 I16'
_cell_length_a 13.888
_cell_length_b 11.045
_cell_length_c 7.214
_cell_angle_alpha 90.00
_cell_angle_beta 90.70
_cell_angle_gamma 90.00
_space_group_name_H-M_alt 'C 1 2/m 1'
_space_group_IT_number 12
_space_group_name_Hall '-C 2y'
loop_
_atom_site_label
_atom_site_type_symbol
_atom_site_fract_x
_atom_site_fract_y
_atom_site_fract_z
Li1 Li 0.000 0.000 0.000
Ti1 Ti 0.192 0.000 0.651
I1 I 0.102 0.188 0.784
I2 I 0.131 0.500 0.241
I3 I 0.182 0.000 0.292
```

---

# 3
Simulated powder diffraction line list of La12Nd7Er for copper Kα, from the GGA-PBE geometry in Alexandria.
Kinematic intensities with the Lorentz-polarization factor, no thermal factor.

Largest 6 diffraction maxima, low angle first, 2θ = 10–80°:
d [Å]  I/Imax
3.297  38
3.024  100
2.777  27
2.743  30
2.350  25
1.950  21

Cell and atoms:
```
data_La12Nd7Er
_chemical_formula_sum 'La36 Nd21 Er3'
_cell_length_a 19.7796
_cell_length_b 19.7796
_cell_length_c 6.4570
_cell_angle_alpha 90.00
_cell_angle_beta 90.00
_cell_angle_gamma 120.00
_space_group_name_H-M_alt 'R -3 m'
_space_group_IT_number 166
_space_group_name_Hall '-R 3 2"'
loop_
_atom_site_label
_atom_site_type_symbol
_atom_site_fract_x
_atom_site_fract_y
_atom_site_fract_z
La1 La 0.0000 0.4074 0.0000
La2 La 0.0963 0.5482 0.4779
Nd1 Nd 0.0000 0.0000 0.0000
Nd2 Nd 0.0840 0.1680 0.3001
Er1 Er 0.0000 0.0000 0.5000
```

---

# 4
Simulated powder diffraction line list of TbCeY3 for copper Kα, from the GGA-PBE geometry in Alexandria.
Kinematic intensities with the Lorentz-polarization factor, no thermal factor.

Largest 6 diffraction maxima, low angle first, 2θ = 10–80°:
d [Å]  I/Imax
3.131  29
2.843  29
2.750  19
2.741  100
1.809  15
1.524  17

Cell and atoms:
```
data_TbCeY3
_chemical_formula_sum 'Tb2 Ce2 Y6'
_cell_length_a 3.610
_cell_length_b 8.482
_cell_length_c 11.117
_cell_angle_alpha 106.45
_cell_angle_beta 99.34
_cell_angle_gamma 90.01
_space_group_name_H-M_alt 'P -1'
_space_group_IT_number 2
_space_group_name_Hall '-P 1'
loop_
_atom_site_label
_atom_site_type_symbol
_atom_site_fract_x
_atom_site_fract_y
_atom_site_fract_z
Tb1 Tb 0.116 0.019 0.233
Ce1 Ce 0.313 0.618 0.627
Y1 Y 0.084 0.584 0.168
Y2 Y 0.283 0.184 0.565
Y3 Y 0.483 0.783 0.966
```

---

# 5
Simulated powder diffraction line list of Sr3In3N5 for copper Kα, from the GGA-PBE geometry in Alexandria.
Kinematic intensities with the Lorentz-polarization factor, no thermal factor.

Largest 6 diffraction maxima, low angle first, 2θ = 10–80°:
d [Å]  I/Imax
3.053  45
3.027  49
3.005  91
2.940  91
2.925  100
2.384  40

Cell and atoms:
```
data_Sr3In3N5
_chemical_formula_sum 'Sr6 In6 N10'
_cell_length_a 6.536
_cell_length_b 7.540
_cell_length_c 9.203
_cell_angle_alpha 106.26
_cell_angle_beta 107.58
_cell_angle_gamma 95.20
_space_group_name_H-M_alt 'P -1'
_space_group_IT_number 2
_space_group_name_Hall '-P 1'
loop_
_atom_site_label
_atom_site_type_symbol
_atom_site_fract_x
_atom_site_fract_y
_atom_site_fract_z
Sr1 Sr 0.153 0.132 0.192
Sr2 Sr 0.172 0.367 0.887
Sr3 Sr 0.306 0.921 0.601
In1 In 0.224 0.448 0.562
In2 In 0.349 0.645 0.281
In3 In 0.399 0.809 0.965
N1 N 0.092 0.590 0.386
N2 N 0.181 0.740 0.083
N3 N 0.255 0.030 0.877
N4 N 0.363 0.195 0.498
N5 N 0.489 0.592 0.796
```

---

# 6
Simulated powder diffraction line list of Pm2Tm4Sc for copper Kα, from the GGA-PBE geometry in Alexandria.
Kinematic intensities with the Lorentz-polarization factor, no thermal factor.

Largest 6 diffraction maxima, low angle first, 2θ = 10–80°:
d [Å]  I/Imax
3.093  25
2.786  24
2.704  100
2.070  16
1.786  19
1.504  18

Cell and atoms:
```
data_Pm2Tm4Sc
_chemical_formula_sum 'Pm4 Tm8 Sc2'
_cell_length_a 6.189
_cell_length_b 8.325
_cell_length_c 9.049
_cell_angle_alpha 95.48
_cell_angle_beta 90.01
_cell_angle_gamma 111.76
_space_group_name_H-M_alt 'P 1'
_space_group_IT_number 1
_space_group_name_Hall 'P 1'
loop_
_atom_site_label
_atom_site_type_symbol
_atom_site_fract_x
_atom_site_fract_y
_atom_site_fract_z
Pm1 Pm 0.000 0.000 0.000
Pm2 Pm 0.094 0.853 0.643
Pm3 Pm 0.285 0.566 0.425
Pm4 Pm 0.667 0.003 0.502
Tm1 Tm 0.142 0.292 0.721
Tm2 Tm 0.239 0.144 0.355
Tm3 Tm 0.420 0.850 0.141
Tm4 Tm 0.520 0.709 0.793
Tm5 Tm 0.571 0.153 0.863
Tm6 Tm 0.711 0.429 0.576
Tm7 Tm 0.807 0.288 0.210
Tm8 Tm 0.849 0.708 0.277
Sc1 Sc 0.380 0.429 0.069
Sc2 Sc 0.948 0.566 0.933
```

---

# 7
Simulated powder diffraction line list of Hf3Cu4Si2 for copper Kα, from the GGA-PBE geometry in Alexandria.
Kinematic intensities with the Lorentz-polarization factor, no thermal factor.

Largest 6 diffraction maxima, low angle first, 2θ = 10–80°:
d [Å]  I/Imax
2.738  26
2.473  100
2.254  81
2.070  37
1.985  26
1.418  32

Cell and atoms:
```
data_Hf3Cu4Si2
_chemical_formula_sum 'Hf3 Cu4 Si2'
_cell_length_a 6.3226
_cell_length_b 6.3226
_cell_length_c 3.9696
_cell_angle_alpha 90.00
_cell_angle_beta 90.00
_cell_angle_gamma 120.00
_space_group_name_H-M_alt 'P -6 2 m'
_space_group_IT_number 189
_space_group_name_Hall 'P -6 -2'
loop_
_atom_site_label
_atom_site_type_symbol
_atom_site_fract_x
_atom_site_fract_y
_atom_site_fract_z
Hf1 Hf 0.0000 0.5861 0.0000
Cu1 Cu 0.0000 0.0000 0.0000
Cu2 Cu 0.0000 0.2478 0.5000
Si1 Si 0.3333 0.6667 0.5000
```

---

# 8
Simulated powder diffraction line list of KNi3Se3 for copper Kα, from the GGA-PBE geometry in Alexandria.
Kinematic intensities with the Lorentz-polarization factor, no thermal factor.

Largest 6 diffraction maxima, low angle first, 2θ = 10–80°:
d [Å]  I/Imax
4.681  63
3.310  44
2.703  100
1.911  53
1.769  53
1.655  35

Cell and atoms:
```
data_KNi3Se3
_chemical_formula_sum 'K2 Ni6 Se6'
_cell_length_a 6.621
_cell_length_b 6.621
_cell_length_c 6.621
_cell_angle_alpha 90.00
_cell_angle_beta 90.00
_cell_angle_gamma 90.00
_space_group_name_H-M_alt 'P m -3 n'
_space_group_IT_number 223
_space_group_name_Hall '-P 4n 2 3'
loop_
_atom_site_label
_atom_site_type_symbol
_atom_site_fract_x
_atom_site_fract_y
_atom_site_fract_z
K1 K 0.000 0.000 0.000
Ni1 Ni 0.000 0.250 0.500
Se1 Se 0.000 0.500 0.250
```

---

# 9
Simulated powder diffraction line list of Ce6In2Ir for copper Kα, from the GGA-PBE geometry in Alexandria.
Kinematic intensities with the Lorentz-polarization factor, no thermal factor.

Largest 6 diffraction maxima, low angle first, 2θ = 10–80°:
d [Å]  I/Imax
3.219  42
2.850  52
2.809  100
2.743  56
2.530  66
2.444  62

Cell and atoms:
```
data_Ce6In2Ir
_chemical_formula_sum 'Ce12 In4 Ir2'
_cell_length_a 6.158
_cell_length_b 7.994
_cell_length_c 11.475
_cell_angle_alpha 90.00
_cell_angle_beta 118.11
_cell_angle_gamma 90.00
_space_group_name_H-M_alt 'P 1 21/c 1'
_space_group_IT_number 14
_space_group_name_Hall '-P 2ybc'
loop_
_atom_site_label
_atom_site_type_symbol
_atom_site_fract_x
_atom_site_fract_y
_atom_site_fract_z
Ce1 Ce 0.058 0.162 0.466
Ce2 Ce 0.290 0.662 0.492
Ce3 Ce 0.365 0.009 0.232
In1 In 0.140 0.124 0.762
Ir1 Ir 0.500 0.000 0.500
```

---

# 10
Simulated powder diffraction line list of HfGeRuRh for copper Kα, from the GGA-PBE geometry in Alexandria.
Kinematic intensities with the Lorentz-polarization factor, no thermal factor.

Largest 6 diffraction maxima, low angle first, 2θ = 10–80°:
d [Å]  I/Imax
3.636  12
2.227  100
1.899  6
1.574  17
1.445  3
1.285  34

Cell and atoms:
```
data_HfGeRuRh
_chemical_formula_sum 'Hf4 Ge4 Ru4 Rh4'
_cell_length_a 6.298
_cell_length_b 6.298
_cell_length_c 6.298
_cell_angle_alpha 90.00
_cell_angle_beta 90.00
_cell_angle_gamma 90.00
_space_group_name_H-M_alt 'F -4 3 m'
_space_group_IT_number 216
_space_group_name_Hall 'F -4 2 3'
loop_
_atom_site_label
_atom_site_type_symbol
_atom_site_fract_x
_atom_site_fract_y
_atom_site_fract_z
Hf1 Hf 0.000 0.000 0.000
Ge1 Ge 0.000 0.000 0.500
Ru1 Ru 0.250 0.250 0.250
Rh1 Rh 0.250 0.250 0.750
```

---

# 11
Simulated powder diffraction line list of Li3Cd6Ga2 for copper Kα, from the GGA-PBE geometry in Alexandria.
Kinematic intensities with the Lorentz-polarization factor, no thermal factor.

Largest 6 diffraction maxima, low angle first, 2θ = 10–80°:
d [Å]  I/Imax
4.307  60
2.462  100
2.381  90
2.357  91
2.320  54
2.297  81

Cell and atoms:
```
data_Li3Cd6Ga2
_chemical_formula_sum 'Li3 Cd6 Ga2'
_cell_length_a 5.471
_cell_length_b 5.903
_cell_length_c 7.479
_cell_angle_alpha 109.42
_cell_angle_beta 95.19
_cell_angle_gamma 100.34
_space_group_name_H-M_alt 'P -1'
_space_group_IT_number 2
_space_group_name_Hall '-P 1'
loop_
_atom_site_label
_atom_site_type_symbol
_atom_site_fract_x
_atom_site_fract_y
_atom_site_fract_z
Li1 Li 0.000 0.000 0.000
Li2 Li 0.264 0.152 0.477
Cd1 Cd 0.095 0.375 0.824
Cd2 Cd 0.216 0.700 0.555
Cd3 Cd 0.455 0.867 0.149
Ga1 Ga 0.387 0.391 0.214
```

---

# 12
Simulated powder diffraction line list of Ac3Cd7Ir4 for copper Kα, from the GGA-PBE geometry in Alexandria.
Kinematic intensities with the Lorentz-polarization factor, no thermal factor.

Largest 6 diffraction maxima, low angle first, 2θ = 10–80°:
d [Å]  I/Imax
3.175  20
2.815  36
2.794  33
2.679  100
2.308  27
2.180  38

Cell and atoms:
```
data_Ac3Cd7Ir4
_chemical_formula_sum 'Ac6 Cd14 Ir8'
_cell_length_a 17.007
_cell_length_b 4.360
_cell_length_c 10.957
_cell_angle_alpha 90.00
_cell_angle_beta 125.18
_cell_angle_gamma 90.00
_space_group_name_H-M_alt 'C 1 2/m 1'
_space_group_IT_number 12
_space_group_name_Hall '-C 2y'
loop_
_atom_site_label
_atom_site_type_symbol
_atom_site_fract_x
_atom_site_fract_y
_atom_site_fract_z
Ac1 Ac 0.000 0.000 0.000
Ac2 Ac 0.199 0.500 0.717
Cd1 Cd 0.000 0.000 0.500
Cd2 Cd 0.018 0.500 0.297
Cd3 Cd 0.169 0.000 0.430
Cd4 Cd 0.177 0.500 0.006
Ir1 Ir 0.107 0.000 0.805
Ir2 Ir 0.162 0.500 0.250
```